The following is a theoretical powder XRD pattern of CuAg. It was derived from the PBE geometry in OQMD, using copper Kα.

Structure:
```
CuAg
1.0
6.784 0.000 0.000
0.000 2.811 0.000
-1.984 0.000 7.858
Cu Ag
5 5
direct
0.000 0.000 0.000
0.106 0.500 0.280
0.386 0.000 0.203
0.614 0.000 0.797
0.894 0.500 0.720
0.191 0.000 0.600
0.298 0.500 0.910
0.500 0.500 0.500
0.702 0.500 0.090
0.809 0.000 0.400
```

Main lines, low angle first (2θ = 10–80°):
2θ/deg, Rel. int., hkl
22.63, 2, 0 0 2
33.59, 2, 1 0 -3
33.87, 2, 0 1 1
34.70, 2, 1 1 0
39.87, 100, 1 1 -2
40.05, 33, 1 0 3
45.74, 45, 2 1 1
47.77, 18, 2 0 -4
66.52, 7, 0 2 0
66.84, 7, 4 0 2
68.18, 12, 4 1 -3
68.39, 12, 0 1 5